Starting from a structure optimized by DFT (GGA-PBE), the X-ray diffraction stick pattern of Dy6Er2Sc5 was calculated for Cu Kα (λ = 1.5418 Å).
Kinematic intensities with the Lorentz-polarization factor, no thermal factor.

The 12 most intense peaks (10° ≤ 2θ ≤ 90°), sorted by position:
d (Å)  Rel. int.
4.818  22.7
3.137  34.0
2.799  47.3
2.732  27.8
2.696  29.8
2.687  100.0
2.675  53.4
2.521  29.1
2.373  19.4
1.735  23.4
1.666  18.4
1.567  20.4

```
Dy6Er2Sc5
1.0
11.315 0.000 0.000
0.000 19.273 0.000
0.000 0.000 3.470
Dy Er Sc
12 4 10
direct
0.057 0.080 0.000
0.088 0.366 0.000
0.172 0.626 0.500
0.328 0.126 0.500
0.412 0.866 0.000
0.443 0.580 0.000
0.557 0.420 0.000
0.588 0.134 0.000
0.672 0.874 0.500
0.828 0.374 0.500
0.912 0.634 0.000
0.943 0.920 0.000
0.154 0.786 0.000
0.346 0.286 0.000
0.654 0.714 0.000
0.846 0.214 0.000
0.000 0.500 0.500
0.104 0.223 0.500
0.198 0.946 0.500
0.302 0.446 0.500
0.396 0.723 0.500
0.500 0.000 0.500
0.604 0.277 0.500
0.698 0.554 0.500
0.802 0.054 0.500
0.896 0.777 0.500
```

***

Starting from a structure optimized by DFT (GGA-PBE), the X-ray diffraction stick pattern of Rb2HCl7 was calculated for Cu Kα (λ = 1.5418 Å).
Kinematic intensities with the Lorentz-polarization factor, no thermal factor.

The 12 most intense peaks (10° ≤ 2θ ≤ 90°), sorted by position:
d (Å)  Rel. int.
3.672  19.4
3.421  29.7
3.089  9.9
2.857  100.0
2.596  52.9
2.273  19.5
2.068  10.1
1.836  15.0
1.710  26.5
1.544  20.5
1.428  12.4
1.401  9.5

```
Rb2HCl7
1.0
-3.672 3.672 4.547
3.672 -3.672 4.547
3.672 3.672 -4.547
Rb H Cl
2 1 7
direct
0.250 0.750 0.500
0.750 0.250 0.500
0.000 0.000 0.000
0.215 0.215 0.430
0.215 0.785 0.000
0.258 0.258 0.000
0.500 0.500 0.000
0.742 0.742 0.000
0.785 0.215 0.000
0.785 0.785 0.570
```

***

Starting from a structure optimized by DFT (GGA-PBE), the X-ray diffraction stick pattern of Pm3Ga8 was calculated for Cu Kα (λ = 1.5418 Å).
Kinematic intensities with the Lorentz-polarization factor, no thermal factor.

The 12 most intense peaks (10° ≤ 2θ ≤ 90°), sorted by position:
d (Å)  Rel. int.
2.944  15.7
2.761  48.4
2.731  100.0
2.358  13.4
2.151  27.6
2.129  26.8
2.033  27.8
1.775  10.2
1.697  22.5
1.513  17.7
1.470  19.3
1.329  10.4

```
Pm3Ga8
1.0
-2.129 2.151 12.690
2.129 -2.151 12.690
2.129 2.151 -12.690
Pm Ga
3 8
direct
0.000 0.000 0.000
0.355 0.855 0.500
0.645 0.145 0.500
0.095 0.595 0.500
0.191 0.691 0.500
0.251 0.251 0.000
0.452 0.452 0.000
0.548 0.548 0.000
0.749 0.749 0.000
0.809 0.309 0.500
0.905 0.405 0.500
```